(1)
Computed powder diffractogram of Cu2Hg3S4 for copper Kα, from DFT lattice parameters and positions (PBE).

Principal peaks in the range 15 to 90 degrees two-theta, by intensity:
2θ (°)  I_rel  (hkl)
28.4  100  2 0 2
25.3  85  0 2 1
33.3  76  5 1 0
25.0  67  3 1 -1
28.2  54  1 1 -2
40.4  31  3 3 -1
21.7  30  3 1 0
35.9  27  5 1 1
51.4  27  8 0 0
36.1  26  4 0 2

Structural model:
```
data_Cu2Hg3S4
_chemical_formula_sum 'Cu8 Hg12 S16'
_space_group_name_H-M_alt 'C 1 2/c 1'
_space_group_IT_number 15
_cell_length_a 14.235
_cell_length_b 8.107
_cell_length_c 7.072
_cell_angle_alpha 90.00
_cell_angle_beta 90.86
_cell_angle_gamma 90.00
loop_
_space_group_symop_operation_xyz
'x,y,z'
'-x,-y,-z'
'-x,y,-z+1/2'
'x,-y,z+1/2'
'x+1/2,y+1/2,z'
'-x+1/2,-y+1/2,-z'
'-x+1/2,y+1/2,-z+1/2'
'x+1/2,-y+1/2,z+1/2'
loop_
_atom_site_label
_atom_site_fract_x
_atom_site_fract_y
_atom_site_fract_z
_atom_site_occupancy
Cu1 0.209 0.125 0.076 1
Hg1 0.000 0.078 0.250 1
Hg2 0.116 0.367 0.573 1
S1 0.125 0.347 0.932 1
S2 0.154 0.096 0.389 1
```



(2)
Computed powder diffractogram of Rb2YSi2O6 for copper Kα, from DFT lattice parameters and positions (PBE).

Principal peaks in the range 15 to 90 degrees two-theta, by intensity:
2θ (°)  I_rel  (hkl)
30.0  100  1 1 0
30.5  95  0 1 5
40.4  41  0 2 4
26.4  39  1 0 4
55.7  35  1 1 9
53.6  30  1 2 5
43.3  25  2 0 5
62.5  21  2 2 0
53.4  18  3 0 0
71.1  16  3 1 5

Structural model:
```
data_Rb2YSi2O6
_chemical_formula_sum 'Rb6 Y3 Si6 O18'
_space_group_name_H-M_alt 'R -3 m'
_space_group_IT_number 166
_space_group_name_Hall '-R 3 2"'
_cell_length_a 5.9481
_cell_length_b 5.9481
_cell_length_c 17.8612
_cell_angle_alpha 90.00
_cell_angle_beta 90.00
_cell_angle_gamma 120.00
loop_
_atom_site_label
_atom_site_fract_x
_atom_site_fract_y
_atom_site_fract_z
_atom_site_occupancy
Rb1 0.0000 0.0000 0.2181 1
Y1 0.0000 0.0000 0.0000 1
Si1 0.0000 0.0000 0.4264 1
O1 0.0253 0.5126 0.2583 1
```



(3)
Computed powder diffractogram of La4Ir2Pt for copper Kα, from DFT lattice parameters and positions (PBE).

Principal peaks in the range 15 to 90 degrees two-theta, by intensity:
2θ (°)  I_rel  (hkl)
31.1  100  3 0 1
31.5  47  1 0 3
37.0  27  3 2 1
37.1  26  3 1 2
37.3  21  2 1 3
63.0  20  6 1 1
77.1  16  7 2 1
51.2  15  4 3 1
51.6  14  3 1 4
47.1  14  3 2 3

Structural model:
```
data_La4Ir2Pt
_chemical_formula_sum 'La16 Ir8 Pt4'
_space_group_name_H-M_alt 'I -4 2 d'
_space_group_IT_number 122
_space_group_name_Hall 'I -4 2bw'
_cell_length_a 9.097
_cell_length_b 9.097
_cell_length_c 8.984
_cell_angle_alpha 90.00
_cell_angle_beta 90.00
_cell_angle_gamma 90.00
loop_
_atom_site_label
_atom_site_fract_x
_atom_site_fract_y
_atom_site_fract_z
_atom_site_occupancy
La1 0.060 0.189 0.321 1
Ir1 0.129 0.250 0.625 1
Pt1 0.000 0.000 0.000 1
```



(4)
Computed powder diffractogram of Pr4TeSe2Br for copper Kα, from DFT lattice parameters and positions (PBE).

Principal peaks in the range 15 to 90 degrees two-theta, by intensity:
2θ (°)  I_rel  (hkl)
29.0  100  2 0 2
41.6  92  2 4 2
29.2  55  0 4 0
51.7  19  0 4 4
51.4  17  4 4 0
68.5  17  2 8 2
41.3  16  4 0 0
76.0  14  4 8 0
68.2  12  4 4 4
33.3  9  3 1 1

Structural model:
```
data_Pr4TeSe2Br
_chemical_formula_sum 'Pr16 Te4 Se8 Br4'
_space_group_name_H-M_alt 'F m m 2'
_space_group_IT_number 42
_space_group_name_Hall 'F 2 -2'
_cell_length_a 8.737
_cell_length_b 12.237
_cell_length_c 8.678
_cell_angle_alpha 90.00
_cell_angle_beta 90.00
_cell_angle_gamma 90.00
loop_
_atom_site_label
_atom_site_fract_x
_atom_site_fract_y
_atom_site_fract_z
_atom_site_occupancy
Pr1 0.000 0.248 0.000 1
Pr2 0.213 0.000 0.239 1
Te1 0.000 0.000 0.526 1
Se1 0.250 0.250 0.250 1
Br1 0.000 0.000 0.957 1
```



(5)
Computed powder diffractogram of Cs3Li2Hg13 for copper Kα, from DFT lattice parameters and positions (PBE).

Principal peaks in the range 15 to 90 degrees two-theta, by intensity:
2θ (°)  I_rel  (hkl)
32.4  100  1 1 3
35.9  72  2 0 3
30.4  63  2 0 0
15.1  37  1 0 0
54.0  36  2 2 0
50.4  29  3 0 3
67.9  23  2 2 6
24.1  22  1 0 3
38.0  21  0 0 6
49.4  19  2 0 6

Structural model:
```
data_Cs3Li2Hg13
_chemical_formula_sum 'Cs3 Li2 Hg13'
_space_group_name_H-M_alt 'P 6/m m m'
_space_group_IT_number 191
_space_group_name_Hall '-P 6 2'
_cell_length_a 6.7931
_cell_length_b 6.7931
_cell_length_c 14.1969
_cell_angle_alpha 90.00
_cell_angle_beta 90.00
_cell_angle_gamma 120.00
loop_
_atom_site_label
_atom_site_fract_x
_atom_site_fract_y
_atom_site_fract_z
_atom_site_occupancy
Cs1 0.0000 0.0000 0.0000 1
Cs2 0.0000 0.0000 0.3309 1
Li1 0.3333 0.6667 0.0000 1
Hg1 0.0000 0.5000 0.1417 1
Hg2 0.0000 0.5000 0.5000 1
Hg3 0.3333 0.6667 0.3191 1
```



(6)
Computed powder diffractogram of LaDyTm2Sc for copper Kα, from DFT lattice parameters and positions (PBE).

Principal peaks in the range 15 to 90 degrees two-theta, by intensity:
2θ (°)  I_rel  (hkl)
32.0  100  1 1 1
26.9  82  0 1 2
33.0  48  0 2 0
41.3  36  1 0 3
53.8  34  1 2 3
30.1  26  1 1 0
64.0  25  1 1 5
36.3  23  0 1 3
37.2  19  1 1 2
59.2  19  2 1 2

Structural model:
```
data_LaDyTm2Sc
_chemical_formula_sum 'La1 Dy1 Tm2 Sc1'
_space_group_name_H-M_alt 'P m m m'
_space_group_IT_number 47
_cell_length_a 3.542
_cell_length_b 5.435
_cell_length_c 8.344
_cell_angle_alpha 90.00
_cell_angle_beta 90.00
_cell_angle_gamma 90.00
loop_
_space_group_symop_operation_xyz
'x,y,z'
'-x,-y,-z'
'-x,-y,z'
'x,y,-z'
'x,-y,-z'
'-x,y,z'
'-x,y,-z'
'x,-y,z'
loop_
_atom_site_label
_atom_site_fract_x
_atom_site_fract_y
_atom_site_fract_z
_atom_site_occupancy
La1 0.000 0.000 0.000 1
Dy1 0.500 0.000 0.500 1
Tm1 0.000 0.500 0.314 1
Sc1 0.500 0.500 0.000 1
```



What is the formula in the fifth record? Cs3Li2Hg13